Entry 1:
This entry pairs a crystal structure of PuHgIO4 with its computed PXRD pattern. Radiation: Cu Kα (weighted mean of Kα1 and Kα2). Structure: DFT lattice parameters and positions (PBE).
No peak broadening, texture or thermal motion is included.

Most intense lines, 2θ = 5–70°, sorted by position:
- (0 0 1), 2θ 9.07, d = 9.746 Å, rel. 91
- (1 1 -1), 2θ 18.56, d = 4.782 Å, rel. 38
- (2 0 1), 2θ 19.82, d = 4.481 Å, rel. 37
- (1 1 1), 2θ 20.64, d = 4.303 Å, rel. 54
- (1 1 2), 2θ 26.86, d = 3.320 Å, rel. 35
- (3 1 -1), 2θ 26.96, d = 3.307 Å, rel. 26
- (3 1 -2), 2θ 29.30, d = 3.048 Å, rel. 100
- (0 2 0), 2θ 31.55, d = 2.835 Å, rel. 43
- (1 1 -5), 2θ 47.77, d = 1.904 Å, rel. 25
- (2 2 3), 2θ 48.04, d = 1.894 Å, rel. 27

Cell and atoms:
Cell lengths 12.2871, 5.6709, 10.1976 Å; angles 90.00, 107.11, 90.00 degrees
Space group C2/m (No. 12)
Unique sites:
1 Pu 0.1399 0.0000 0.2291 x4
2 Hg 0.1436 0.5000 0.9390 x4
3 I 0.0286 0.5000 0.3081 x4
4 O 0.0052 0.0000 0.8755 x4
5 O 0.1914 0.2423 0.1176 x8
6 O 0.2250 0.5000 0.6400 x4

---

Entry 2:
This entry pairs a crystal structure of Rb2Ni3Te4 with its computed PXRD pattern. Radiation: Cu Kα (weighted mean of Kα1 and Kα2). Structure: DFT lattice parameters and positions (PBE).
No peak broadening, texture or thermal motion is included.

Most intense lines, 2θ = 5–70°, sorted by position:
- (0 0 4), 2θ 12.24, d = 7.229 Å, rel. 57
- (0 0 8), 2θ 24.63, d = 3.615 Å, rel. 40
- (1 3 1), 2θ 27.13, d = 3.287 Å, rel. 100
- (2 0 2), 2θ 27.69, d = 3.222 Å, rel. 54
- (2 0 6), 2θ 32.86, d = 2.725 Å, rel. 47
- (1 3 7), 2θ 34.74, d = 2.582 Å, rel. 69
- (1 3 9), 2θ 39.08, d = 2.305 Å, rel. 56
- (2 0 10), 2θ 41.50, d = 2.176 Å, rel. 32
- (2 2 12), 2θ 49.43, d = 1.844 Å, rel. 29
- (2 6 0), 2θ 55.58, d = 1.653 Å, rel. 48

Cell and atoms:
Cell lengths 6.6092, 11.4632, 28.9173 Å; angles 90.00, 90.00, 90.00 degrees
Space group Fddd (No. 70, origin choice 2)
Unique sites:
1 Rb 0.1250 0.1250 0.0541 x16
2 Ni 0.1250 0.1250 0.3761 x16
3 Ni 0.1250 0.1250 0.6250 x8
4 Te 0.1199 0.2918 0.5682 x32